Entry 1:
The following is a calculated powder X-ray diffraction pattern of BaLaMnS4. It was derived from a structure optimized by DFT (PBE), using Cu Kα (λ = 1.5418 Å).
Intensities are scaled so that the largest is 1000.

Main lines, low angle first (10 to 90 degrees two-theta):
two_theta, I (rel.)
19.9, 265
25.9, 1000
26.9, 516
27.1, 529
35.2, 345
35.9, 383
36.1, 378
38.6, 767

```
BaLaMnS4
1.0
3.289 -7.601 0.000
3.289 7.601 0.000
0.000 0.000 6.631
Ba La Mn S
2 2 2 8
direct
0.106 0.894 0.750 Ba
0.894 0.106 0.250 Ba
0.382 0.618 0.750 La
0.618 0.382 0.250 La
0.247 0.753 0.250 Mn
0.753 0.247 0.750 Mn
0.000 0.500 0.000 S
0.000 0.500 0.500 S
0.092 0.908 0.250 S
0.429 0.571 0.250 S
0.500 0.000 0.000 S
0.500 0.000 0.500 S
0.571 0.429 0.750 S
0.908 0.092 0.750 S
```



Entry 2:
The following is a calculated powder X-ray diffraction pattern of Na2Mg2S3. It was derived from a structure optimized by DFT (PBE), using Cu Kα (λ = 1.5418 Å).
Intensities are scaled so that the largest is 1000.

Main lines, low angle first (10 to 90 degrees two-theta):
two_theta, I (rel.)
23.7, 492
25.4, 505
26.2, 458
27.1, 853
28.8, 405
35.8, 828
40.7, 454
43.8, 1000

```
Na2Mg2S3
1.0
7.611 -6.654 0.000
7.611 6.654 0.000
-3.165 0.000 6.262
Na Mg S
8 8 12
direct
0.073 0.927 0.750 Na
0.219 0.781 0.250 Na
0.322 0.494 0.374 Na
0.494 0.322 0.874 Na
0.506 0.678 0.126 Na
0.678 0.506 0.626 Na
0.781 0.219 0.750 Na
0.927 0.073 0.250 Na
0.055 0.582 0.743 Mg
0.134 0.283 0.799 Mg
0.283 0.134 0.299 Mg
0.418 0.945 0.757 Mg
0.582 0.055 0.243 Mg
0.717 0.866 0.701 Mg
0.866 0.717 0.201 Mg
0.945 0.418 0.257 Mg
0.065 0.215 0.062 S
0.081 0.641 0.444 S
0.215 0.065 0.562 S
0.271 0.496 0.956 S
0.359 0.919 0.056 S
0.496 0.271 0.456 S
0.504 0.729 0.544 S
0.641 0.081 0.944 S
0.729 0.504 0.044 S
0.785 0.935 0.438 S
0.919 0.359 0.556 S
0.935 0.785 0.938 S
```



Entry 3:
The following is a calculated powder X-ray diffraction pattern of AcAl3H12. It was derived from a structure optimized by DFT (PBE), using Cu Kα (λ = 1.5418 Å).
Intensities are scaled so that the largest is 1000.

Main lines, low angle first (10 to 90 degrees two-theta):
two_theta, I (rel.)
11.7, 632
18.4, 1000
20.3, 503
27.5, 774
34.4, 615
35.2, 262
46.2, 218
54.8, 212

```
AcAl3H12
1.0
8.745 0.000 0.000
-4.373 7.573 0.000
0.000 0.000 6.265
Ac Al H
2 6 24
direct
0.333 0.667 0.250 Ac
0.667 0.333 0.750 Ac
0.095 0.374 0.750 Al
0.278 0.905 0.750 Al
0.374 0.278 0.250 Al
0.626 0.722 0.750 Al
0.722 0.095 0.250 Al
0.905 0.626 0.250 Al
0.019 0.522 0.250 H
0.036 0.834 0.250 H
0.166 0.201 0.250 H
0.201 0.036 0.750 H
0.227 0.454 0.544 H
0.227 0.454 0.956 H
0.227 0.773 0.544 H
0.227 0.773 0.956 H
0.454 0.227 0.044 H
0.454 0.227 0.456 H
0.478 0.497 0.250 H
0.497 0.019 0.750 H
0.503 0.981 0.250 H
0.522 0.503 0.750 H
0.546 0.773 0.544 H
0.546 0.773 0.956 H
0.773 0.227 0.044 H
0.773 0.227 0.456 H
0.773 0.546 0.044 H
0.773 0.546 0.456 H
0.799 0.964 0.250 H
0.834 0.799 0.750 H
0.964 0.166 0.750 H
0.981 0.478 0.750 H
```